Entry 1:
Diffraction record for EuBi2Pd2. The powder X-ray diffraction pattern is simulated, not measured: it uses a crystal structure in the Materials Project, relaxed with GGA-PBE and Cu Kα, 1.54184 Å.
Lines closer than 0.1° are merged.

Structure:
abc: 4.907 4.907 10.794
angles: 90.00 90.00 90.00
Fractional positions:
Eu (0.250, 0.250, 0.239)
Eu (0.750, 0.750, 0.761)
Bi (0.250, 0.250, 0.878)
Bi (0.250, 0.750, 0.500)
Bi (0.750, 0.250, 0.500)
Bi (0.750, 0.750, 0.122)
Pd (0.250, 0.250, 0.627)
Pd (0.250, 0.750, 0.000)
Pd (0.750, 0.250, 0.000)
Pd (0.750, 0.750, 0.373)

Principal peaks in the range 5 to 70 degrees two-theta, by intensity:
2theta	I (rel.)
30.6	1000
36.6	895
30.8	655
42.4	454
48.6	373
52.8	316



Entry 2:
Diffraction record for Si. The powder X-ray diffraction pattern is simulated, not measured: it uses a crystal structure in the Materials Project, relaxed with GGA-PBE and Cu Kα, 1.54184 Å.
Lines closer than 0.1° are merged.

Structure:
abc: 5.047 5.433 6.902
angles: 70.46 70.80 83.80
Fractional positions:
Si (0.000, 0.000, 0.000)
Si (0.000, 0.440, 0.974)
Si (0.300, 0.667, 0.593)
Si (0.304, 0.646, 0.091)
Si (0.685, 0.655, 0.242)
Si (0.700, 0.660, 0.738)
Si (0.994, 0.462, 0.465)
Si (0.996, 0.016, 0.656)

Principal peaks in the range 5 to 70 degrees two-theta, by intensity:
2theta	I (rel.)
17.3	1000
18.6	579
39.9	444
39.7	302
28.9	278
39.2	268



Entry 3:
Diffraction record for AlPO4. The powder X-ray diffraction pattern is simulated, not measured: it uses a crystal structure in the Materials Project, relaxed with GGA-PBE and Cu Kα, 1.54184 Å.
Lines closer than 0.1° are merged.

Structure:
abc: 5.336 5.336 8.715
angles: 90.00 90.00 120.00
Fractional positions:
Al (0.333, 0.667, 0.000)
Al (0.667, 0.333, 0.500)
P (0.333, 0.667, 0.375)
P (0.667, 0.333, 0.875)
O (0.021, 0.511, 0.433)
O (0.333, 0.667, 0.199)
O (0.489, 0.511, 0.433)
O (0.489, 0.979, 0.433)
O (0.511, 0.021, 0.933)
O (0.511, 0.489, 0.933)
O (0.667, 0.333, 0.699)
O (0.979, 0.489, 0.933)

Principal peaks in the range 5 to 70 degrees two-theta, by intensity:
2theta	I (rel.)
19.2	1000
21.8	604
20.4	549
33.6	245
28.1	206
36.5	119



Entry 4:
Diffraction record for Li2CrS3. The powder X-ray diffraction pattern is simulated, not measured: it uses a crystal structure in the Materials Project, relaxed with GGA-PBE and Cu Kα, 1.54184 Å.
Lines closer than 0.1° are merged.

Structure:
abc: 6.102 6.102 6.277
angles: 99.44 99.44 120.11
Fractional positions:
Li (0.000, 0.000, 0.000)
Li (0.160, 0.840, 0.500)
Li (0.500, 0.500, 0.500)
Li (0.840, 0.160, 0.500)
Cr (0.333, 0.667, 0.000)
Cr (0.667, 0.333, 0.000)
S (0.076, 0.437, 0.227)
S (0.284, 0.284, 0.771)
S (0.437, 0.076, 0.227)
S (0.563, 0.924, 0.773)
S (0.716, 0.716, 0.229)
S (0.924, 0.563, 0.773)

Principal peaks in the range 5 to 70 degrees two-theta, by intensity:
2theta	I (rel.)
35.7	1000
14.9	489
51.9	290
50.7	205
17.5	178
29.7	131



Entry 5:
Diffraction record for Fe4Te3Se. The powder X-ray diffraction pattern is simulated, not measured: it uses a crystal structure in the Materials Project, relaxed with GGA-PBE and Cu Kα, 1.54184 Å.
Lines closer than 0.1° are merged.

Structure:
abc: 5.138 5.138 12.960
angles: 90.00 90.00 90.00
Fractional positions:
Fe (0.248, 0.248, 0.000)
Fe (0.248, 0.752, 0.000)
Fe (0.252, 0.252, 0.500)
Fe (0.252, 0.748, 0.500)
Fe (0.748, 0.252, 0.500)
Fe (0.748, 0.748, 0.500)
Fe (0.752, 0.248, 0.000)
Fe (0.752, 0.752, 0.000)
Te (0.000, 0.000, 0.641)
Te (0.000, 0.500, 0.357)
Te (0.000, 0.500, 0.857)
Te (0.500, 0.000, 0.357)
Te (0.500, 0.000, 0.857)
Te (0.500, 0.500, 0.141)
Se (0.000, 0.000, 0.125)
Se (0.500, 0.500, 0.625)

Principal peaks in the range 5 to 70 degrees two-theta, by intensity:
2theta	I (rel.)
28.2	1000
45.0	594
58.6	249
37.7	236
50.2	234
13.7	201